No. 1
This entry pairs a crystal structure of LiMgIn2Te4 with its calculated XRD peak list. Radiation: Cu Kα X-rays. Structure: the PBE geometry in Alexandria.
Lines closer than 0.1° are merged.

Most intense lines, 2θ = 15–90°, by angle:
2θ = 22.76°, intensity 83; 2θ = 24.30°, intensity 100; 2θ = 30.07°, intensity 18; 2θ = 35.30°, intensity 33; 2θ = 39.37°, intensity 22; 2θ = 39.66°, intensity 81; 2θ = 43.32°, intensity 45; 2θ = 45.95°, intensity 25; 2θ = 48.16°, intensity 19; 2θ = 66.29°, intensity 17

```
data_LiMgIn2Te4
_cell_length_a 7.9465
_cell_length_b 7.6315
_cell_length_c 6.8425
_cell_angle_alpha 66.34
_cell_angle_beta 61.60
_cell_angle_gamma 52.06
_space_group_name_H-M_alt 'P 1'
_space_group_IT_number 1
_space_group_name_Hall 'P 1'
loop_
_atom_site_label
_atom_site_fract_x
_atom_site_fract_y
_atom_site_fract_z
Li1 0.0000 0.0000 0.0000
Mg1 0.4954 0.4954 0.5046
In1 0.2520 0.2520 0.2480
In2 0.7520 0.7520 0.7480
Te1 0.1118 0.6198 0.8882
Te2 0.3551 0.8518 0.1482
Te3 0.6198 0.1118 0.3802
Te4 0.8518 0.3551 0.6449
```



No. 2
This entry pairs a crystal structure of KLaP2Pt4 with its calculated XRD peak list. Radiation: Cu Kα X-rays. Structure: the PBE geometry in Alexandria.
Lines closer than 0.1° are merged.

Most intense lines, 2θ = 15–90°, by angle:
2θ = 16.43°, intensity 70; 2θ = 30.76°, intensity 29; 2θ = 35.07°, intensity 100; 2θ = 39.88°, intensity 47; 2θ = 44.06°, intensity 40; 2θ = 47.33°, intensity 19; 2θ = 52.84°, intensity 22; 2θ = 62.40°, intensity 17; 2θ = 68.96°, intensity 16; 2θ = 75.19°, intensity 22

```
data_KLaP2Pt4
_cell_length_a 4.1105
_cell_length_b 4.1105
_cell_length_c 10.7892
_cell_angle_alpha 90.00
_cell_angle_beta 90.00
_cell_angle_gamma 90.00
_space_group_name_H-M_alt 'P 1'
_space_group_IT_number 1
_space_group_name_Hall 'P 1'
loop_
_atom_site_label
_atom_site_fract_x
_atom_site_fract_y
_atom_site_fract_z
K1 0.0000 0.0000 0.0000
La1 0.0000 0.0000 0.5000
P1 0.5000 0.5000 0.1838
P2 0.5000 0.5000 0.8162
Pt1 0.0000 0.5000 0.2887
Pt2 0.0000 0.5000 0.7113
Pt3 0.5000 0.0000 0.2887
Pt4 0.5000 0.0000 0.7113
```



No. 3
This entry pairs a crystal structure of TmU2S3O2 with its calculated XRD peak list. Radiation: Cu Kα X-rays. Structure: the PBE geometry in Alexandria.
Lines closer than 0.1° are merged.

Most intense lines, 2θ = 15–90°, by angle:
2θ = 25.39°, intensity 29; 2θ = 26.73°, intensity 100; 2θ = 31.76°, intensity 26; 2θ = 33.43°, intensity 53; 2θ = 38.20°, intensity 17; 2θ = 42.44°, intensity 39; 2θ = 45.58°, intensity 14; 2θ = 47.99°, intensity 23; 2θ = 55.07°, intensity 15; 2θ = 55.78°, intensity 29

```
data_TmU2S3O2
_cell_length_a 3.7912
_cell_length_b 3.7912
_cell_length_c 21.0474
_cell_angle_alpha 90.00
_cell_angle_beta 90.00
_cell_angle_gamma 90.00
_space_group_name_H-M_alt 'P 1'
_space_group_IT_number 1
_space_group_name_Hall 'P 1'
loop_
_atom_site_label
_atom_site_fract_x
_atom_site_fract_y
_atom_site_fract_z
Tm1 0.0000 0.0000 0.0000
Tm2 0.5000 0.5000 0.5000
U1 0.0000 0.0000 0.3140
U2 0.0000 0.0000 0.6859
U3 0.5000 0.5000 0.1860
U4 0.5000 0.5000 0.8141
S1 0.0000 0.0000 0.1276
S2 0.0000 0.0000 0.5000
S3 0.0000 0.0000 0.8724
S4 0.5000 0.5000 0.0000
S5 0.5000 0.5000 0.3724
S6 0.5000 0.5000 0.6276
O1 0.0000 0.5000 0.2500
O2 0.0000 0.5000 0.7500
O3 0.5000 0.0000 0.2500
O4 0.5000 0.0000 0.7500
```



No. 4
This entry pairs a crystal structure of Nd3SnTe with its calculated XRD peak list. Radiation: Cu Kα X-rays. Structure: the PBE geometry in Alexandria.
Lines closer than 0.1° are merged.

Most intense lines, 2θ = 15–90°, by angle:
2θ = 17.06°, intensity 18; 2θ = 21.81°, intensity 32; 2θ = 23.18°, intensity 34; 2θ = 31.76°, intensity 34; 2θ = 32.18°, intensity 100; 2θ = 33.34°, intensity 21; 2θ = 36.76°, intensity 26; 2θ = 40.74°, intensity 28; 2θ = 43.21°, intensity 33; 2θ = 64.16°, intensity 19

```
data_Nd3SnTe
_cell_length_a 4.4293
_cell_length_b 9.2273
_cell_length_c 10.8176
_cell_angle_alpha 108.78
_cell_angle_beta 90.05
_cell_angle_gamma 103.85
_space_group_name_H-M_alt 'P 1'
_space_group_IT_number 1
_space_group_name_Hall 'P 1'
loop_
_atom_site_label
_atom_site_fract_x
_atom_site_fract_y
_atom_site_fract_z
Nd1 0.0183 0.0365 0.1745
Nd2 0.1766 0.3525 0.5571
Nd3 0.3479 0.6957 0.9491
Nd4 0.6521 0.3043 0.0509
Nd5 0.8234 0.6475 0.4429
Nd6 0.9817 0.9635 0.8255
Sn1 0.3648 0.7298 0.6585
Sn2 0.6352 0.2702 0.3415
Te1 0.1608 0.3225 0.8378
Te2 0.8392 0.6775 0.1622
```



No. 5
This entry pairs a crystal structure of InSbIr2 with its calculated XRD peak list. Radiation: Cu Kα X-rays. Structure: the PBE geometry in Alexandria.
Lines closer than 0.1° are merged.

Most intense lines, 2θ = 15–90°, by angle:
2θ = 33.25°, intensity 30; 2θ = 35.75°, intensity 100; 2θ = 38.07°, intensity 53; 2θ = 41.01°, intensity 88; 2θ = 41.35°, intensity 33; 2θ = 41.68°, intensity 20; 2θ = 47.11°, intensity 27; 2θ = 53.26°, intensity 23; 2θ = 67.33°, intensity 20; 2θ = 70.73°, intensity 18

```
data_InSbIr2
_cell_length_a 9.6789
_cell_length_b 3.4401
_cell_length_c 4.4711
_cell_angle_alpha 90.00
_cell_angle_beta 102.37
_cell_angle_gamma 90.00
_space_group_name_H-M_alt 'P 1'
_space_group_IT_number 1
_space_group_name_Hall 'P 1'
loop_
_atom_site_label
_atom_site_fract_x
_atom_site_fract_y
_atom_site_fract_z
In1 0.0000 0.0000 0.0000
In2 0.5000 0.5000 0.0000
Sb1 0.2535 0.5000 0.3965
Sb2 0.7535 0.0000 0.3965
Ir1 0.2665 0.0000 0.9082
Ir2 0.4828 0.0000 0.4917
Ir3 0.7665 0.5000 0.9082
Ir4 0.9828 0.5000 0.4917
```